(1)
The following is a calculated powder diffractogram of Sm4U2Ru5. It was derived from a cell relaxed with GGA-PBE, using a wavelength of 1.5418 Å.

Atomic structure:
```
Sm4U2Ru5
1.0
-4.400 9.067 3.085
4.400 -9.067 3.085
4.400 9.067 -3.085
Sm U Ru
8 4 10
direct
0.055 0.751 0.806
0.137 0.120 0.257
0.363 0.620 0.983
0.445 0.251 0.696
0.555 0.749 0.304
0.637 0.380 0.017
0.863 0.880 0.743
0.945 0.249 0.194
0.054 0.750 0.304
0.446 0.750 0.696
0.554 0.250 0.304
0.946 0.250 0.696
0.088 0.438 0.526
0.225 0.834 0.059
0.250 0.250 0.000
0.275 0.334 0.610
0.412 0.938 0.351
0.588 0.062 0.649
0.725 0.666 0.390
0.750 0.750 0.000
0.775 0.166 0.941
0.912 0.562 0.474
```

Peak list (10 most intense, 10° ≤ 2θ ≤ 80°, by angle)
4.982 Å, 17.80°, I 35
2.639 Å, 33.97°, I 58
2.623 Å, 34.19°, I 100
2.594 Å, 34.58°, I 72
2.549 Å, 35.21°, I 53
2.543 Å, 35.30°, I 63
2.526 Å, 35.54°, I 57
2.486 Å, 36.12°, I 52
2.270 Å, 39.71°, I 39
1.542 Å, 59.99°, I 35

(2)
The following is a calculated powder diffractogram of NaAgSbCl5. It was derived from a cell relaxed with GGA-PBE, using a wavelength of 1.5418 Å.

Atomic structure:
```
NaAgSbCl5
1.0
4.478 -5.786 0.000
4.478 5.786 0.000
-2.651 0.000 9.876
Na Ag Sb Cl
2 2 2 10
direct
0.000 0.500 0.000
0.500 0.000 0.500
0.059 0.941 0.750
0.941 0.059 0.250
0.389 0.611 0.750
0.611 0.389 0.250
0.120 0.312 0.786
0.186 0.735 0.564
0.265 0.814 0.936
0.312 0.120 0.286
0.390 0.610 0.250
0.610 0.390 0.750
0.688 0.880 0.714
0.735 0.186 0.064
0.814 0.265 0.436
0.880 0.688 0.214
```

Peak list (10 most intense, 10° ≤ 2θ ≤ 80°, by angle)
6.322 Å, 14.01°, I 46
5.188 Å, 17.09°, I 55
4.938 Å, 17.96°, I 100
4.324 Å, 20.54°, I 63
3.774 Å, 23.57°, I 39
3.756 Å, 23.69°, I 67
2.889 Å, 30.95°, I 36
2.496 Å, 35.98°, I 32
2.288 Å, 39.38°, I 31
2.107 Å, 42.91°, I 31

(3)
The following is a calculated powder diffractogram of IClF3. It was derived from a cell relaxed with GGA-PBE, using a wavelength of 1.5418 Å.

Atomic structure:
```
IClF3
1.0
5.238 0.000 0.000
0.938 6.006 0.000
0.291 0.480 7.163
I Cl F
2 2 6
direct
0.000 0.000 0.000
0.020 0.528 0.517
0.313 0.782 0.583
0.710 0.339 0.015
0.187 0.702 0.053
0.206 0.332 0.705
0.218 0.101 0.175
0.738 0.866 0.885
0.821 0.276 0.517
0.821 0.913 0.221
```

Peak list (10 most intense, 10° ≤ 2θ ≤ 80°, by angle)
5.173 Å, 17.14°, I 100
4.756 Å, 18.66°, I 73
4.452 Å, 19.94°, I 65
3.775 Å, 23.57°, I 41
3.582 Å, 24.86°, I 58
3.544 Å, 25.13°, I 34
3.279 Å, 27.19°, I 45
3.227 Å, 27.64°, I 29
2.904 Å, 30.78°, I 33
2.149 Å, 42.04°, I 29

(4)
The following is a calculated powder diffractogram of MnNb2Rh5. It was derived from a cell relaxed with GGA-PBE, using a wavelength of 1.5418 Å.

Atomic structure:
```
MnNb2Rh5
1.0
5.500 0.000 0.000
0.000 10.935 0.000
0.000 0.000 3.969
Mn Nb Rh
2 4 10
direct
0.000 0.000 0.000
0.500 0.500 0.000
0.217 0.367 0.500
0.283 0.867 0.500
0.717 0.133 0.500
0.783 0.633 0.500
0.000 0.500 0.000
0.031 0.753 0.000
0.224 0.117 0.500
0.276 0.617 0.500
0.469 0.253 0.000
0.500 0.000 0.000
0.531 0.747 0.000
0.724 0.383 0.500
0.776 0.883 0.500
0.969 0.247 0.000
```

Peak list (10 most intense, 10° ≤ 2θ ≤ 80°, by angle)
2.260 Å, 39.88°, I 92
2.251 Å, 40.05°, I 100
2.214 Å, 40.76°, I 11
2.195 Å, 41.12°, I 5
1.985 Å, 45.72°, I 35
1.939 Å, 46.86°, I 56
1.387 Å, 67.55°, I 36
1.375 Å, 68.21°, I 6
1.367 Å, 68.67°, I 9
1.224 Å, 78.09°, I 5

(5)
The following is a calculated powder diffractogram of LaB2C2. It was derived from a cell relaxed with GGA-PBE, using a wavelength of 1.5418 Å.

Atomic structure:
```
LaB2C2
1.0
3.833 0.000 0.000
0.000 3.833 0.000
0.000 0.000 7.997
La B C
2 4 4
direct
0.000 0.000 0.250
0.000 0.000 0.750
0.217 0.500 0.000
0.500 0.217 0.500
0.500 0.783 0.500
0.783 0.500 0.000
0.186 0.500 0.500
0.500 0.186 0.000
0.500 0.814 0.000
0.814 0.500 0.500
```

Peak list (10 most intense, 10° ≤ 2θ ≤ 80°, by angle)
3.999 Å, 22.23°, I 24
3.833 Å, 23.20°, I 77
2.767 Å, 32.35°, I 100
2.711 Å, 33.05°, I 33
2.244 Å, 40.19°, I 53
1.773 Å, 51.56°, I 19
1.728 Å, 52.98°, I 20
1.714 Å, 53.45°, I 25
1.576 Å, 58.59°, I 23
1.301 Å, 72.65°, I 20

(6)
The following is a calculated powder diffractogram of Tl2HPd2. It was derived from a cell relaxed with GGA-PBE, using a wavelength of 1.5418 Å.

Atomic structure:
```
Tl2HPd2
1.0
5.241 -2.816 0.000
5.241 2.816 0.000
-5.045 0.000 6.182
Tl H Pd
4 2 4
direct
0.106 0.106 0.365
0.310 0.310 0.865
0.690 0.690 0.135
0.894 0.894 0.635
0.359 0.359 0.355
0.641 0.641 0.645
0.172 0.172 0.070
0.470 0.470 0.652
0.530 0.530 0.348
0.828 0.828 0.930
```

Peak list (10 most intense, 10° ≤ 2θ ≤ 80°, by angle)
3.147 Å, 28.36°, I 16
2.904 Å, 30.79°, I 40
2.816 Å, 31.77°, I 94
2.700 Å, 33.18°, I 68
2.623 Å, 34.19°, I 100
2.226 Å, 40.52°, I 19
1.949 Å, 46.60°, I 63
1.919 Å, 47.36°, I 81
1.352 Å, 69.52°, I 17
1.241 Å, 76.84°, I 19

(7)
The following is a calculated powder diffractogram of Nd3Mg2. It was derived from a cell relaxed with GGA-PBE, using a wavelength of 1.5418 Å.

Atomic structure:
```
Nd3Mg2
1.0
9.431 0.000 0.000
0.000 9.431 0.000
0.000 0.000 7.034
Nd Mg
12 8
direct
0.000 0.500 0.250
0.000 0.500 0.750
0.175 0.175 0.000
0.176 0.176 0.500
0.324 0.676 0.000
0.325 0.675 0.500
0.500 0.000 0.250
0.500 0.000 0.750
0.675 0.325 0.500
0.676 0.324 0.000
0.824 0.824 0.500
0.825 0.825 0.000
0.119 0.881 0.252
0.119 0.881 0.748
0.381 0.381 0.248
0.381 0.381 0.752
0.619 0.619 0.248
0.619 0.619 0.752
0.881 0.119 0.252
0.881 0.119 0.748
```

Peak list (10 most intense, 10° ≤ 2θ ≤ 80°, by angle)
4.218 Å, 21.06°, I 79
3.334 Å, 26.74°, I 45
3.111 Å, 28.70°, I 38
2.982 Å, 29.96°, I 98
2.819 Å, 31.74°, I 98
2.701 Å, 33.17°, I 100
2.287 Å, 39.39°, I 34
1.917 Å, 47.41°, I 36
1.879 Å, 48.45°, I 48
1.637 Å, 56.19°, I 27

(8)
The following is a calculated powder diffractogram of LaSiAs3. It was derived from a cell relaxed with GGA-PBE, using a wavelength of 1.5418 Å.

Atomic structure:
```
LaSiAs3
1.0
5.946 0.000 0.000
0.000 26.606 0.000
0.000 0.000 6.059
La Si As
8 8 24
direct
0.001 0.091 0.000
0.001 0.409 0.500
0.499 0.591 0.000
0.499 0.909 0.500
0.501 0.091 0.500
0.501 0.409 0.000
0.999 0.591 0.500
0.999 0.909 0.000
0.088 0.707 0.089
0.088 0.793 0.589
0.412 0.207 0.089
0.412 0.293 0.589
0.588 0.707 0.411
0.588 0.793 0.911
0.912 0.207 0.411
0.912 0.293 0.911
0.003 0.124 0.504
0.003 0.376 0.004
0.014 0.211 0.035
0.014 0.289 0.535
0.250 0.000 0.249
0.250 0.000 0.749
0.250 0.500 0.249
0.250 0.500 0.749
0.486 0.711 0.035
0.486 0.789 0.535
0.497 0.624 0.504
0.497 0.876 0.004
0.503 0.124 0.996
0.503 0.376 0.496
0.514 0.211 0.465
0.514 0.289 0.965
0.750 0.000 0.251
0.750 0.000 0.751
0.750 0.500 0.251
0.750 0.500 0.751
0.986 0.711 0.465
0.986 0.789 0.965
0.997 0.624 0.996
0.997 0.876 0.496
```

Peak list (10 most intense, 10° ≤ 2θ ≤ 80°, by angle)
4.191 Å, 21.20°, I 36
3.030 Å, 29.48°, I 37
2.973 Å, 30.06°, I 37
2.831 Å, 31.60°, I 100
2.757 Å, 32.48°, I 47
2.714 Å, 33.00°, I 43
2.661 Å, 33.69°, I 42
2.501 Å, 35.90°, I 43
2.469 Å, 36.38°, I 41
2.122 Å, 42.61°, I 74

(9)
The following is a calculated powder diffractogram of Cr4FeCuSe4S4. It was derived from a cell relaxed with GGA-PBE, using a wavelength of 1.5418 Å.

Atomic structure:
```
Cr4FeCuSe4S4
1.0
0.000 5.096 5.096
5.096 0.000 5.096
5.096 5.096 0.000
Cr Fe Cu Se S
4 1 1 4 4
direct
0.117 0.117 0.117
0.117 0.117 0.648
0.117 0.648 0.117
0.648 0.117 0.117
0.500 0.500 0.500
0.750 0.750 0.750
0.367 0.367 0.367
0.367 0.367 0.899
0.367 0.899 0.367
0.899 0.367 0.367
0.351 0.883 0.883
0.883 0.351 0.883
0.883 0.883 0.351
0.883 0.883 0.883
```

Peak list (10 most intense, 10° ≤ 2θ ≤ 80°, by angle)
5.885 Å, 15.06°, I 21
3.604 Å, 24.71°, I 24
3.073 Å, 29.06°, I 77
2.942 Å, 30.38°, I 27
2.548 Å, 35.22°, I 70
1.962 Å, 46.28°, I 42
1.802 Å, 50.66°, I 100
1.471 Å, 63.20°, I 14
1.327 Å, 71.04°, I 15
1.274 Å, 74.47°, I 14

(10)
The following is a calculated powder diffractogram of PaCuCl6. It was derived from a cell relaxed with GGA-PBE, using a wavelength of 1.5418 Å.

Atomic structure:
```
PaCuCl6
1.0
3.299 -6.171 0.000
3.299 6.171 0.000
-2.764 0.000 5.993
Pa Cu Cl
1 1 6
direct
0.000 0.000 0.000
0.500 0.500 0.500
0.120 0.409 0.264
0.228 0.228 0.772
0.409 0.120 0.264
0.591 0.880 0.736
0.772 0.772 0.228
0.880 0.591 0.736
```

Peak list (10 most intense, 10° ≤ 2θ ≤ 80°, by angle)
6.171 Å, 14.35°, I 88
5.389 Å, 16.45°, I 28
5.068 Å, 17.50°, I 100
4.299 Å, 20.66°, I 19
3.418 Å, 26.07°, I 30
2.779 Å, 32.21°, I 29
2.692 Å, 33.28°, I 80
2.534 Å, 35.43°, I 18
2.149 Å, 42.04°, I 27
1.933 Å, 47.01°, I 36

(11)
The following is a calculated powder diffractogram of PrHoTh3. It was derived from a cell relaxed with GGA-PBE, using a wavelength of 1.5418 Å.

Atomic structure:
```
PrHoTh3
1.0
-4.994 5.961 3.000
4.994 -5.961 3.000
4.994 5.961 -3.000
Pr Ho Th
2 2 6
direct
0.500 0.000 0.000
0.500 0.500 0.500
0.053 0.303 0.750
0.947 0.697 0.250
0.000 0.000 0.000
0.000 0.332 0.332
0.000 0.668 0.668
0.500 0.000 0.500
0.500 0.332 0.832
0.500 0.668 0.168
```

Peak list (10 most intense, 10° ≤ 2θ ≤ 80°, by angle)
5.961 Å, 14.86°, I 45
3.654 Å, 24.36°, I 40
2.981 Å, 29.98°, I 64
2.911 Å, 30.71°, I 48
2.680 Å, 33.43°, I 90
2.616 Å, 34.28°, I 100
2.083 Å, 43.45°, I 38
1.657 Å, 55.46°, I 22
1.641 Å, 56.03°, I 25
1.486 Å, 62.48°, I 26

(12)
The following is a calculated powder diffractogram of Cd9Ga2Sn. It was derived from a cell relaxed with GGA-PBE, using a wavelength of 1.5418 Å.

Atomic structure:
```
Cd9Ga2Sn
1.0
4.515 0.000 0.000
0.000 4.515 0.000
0.000 0.000 13.336
Cd Ga Sn
9 2 1
direct
0.000 0.000 0.000
0.000 0.000 0.337
0.000 0.000 0.663
0.000 0.500 0.175
0.000 0.500 0.500
0.000 0.500 0.825
0.500 0.000 0.175
0.500 0.000 0.500
0.500 0.000 0.825
0.500 0.500 0.339
0.500 0.500 0.661
0.500 0.500 0.000
```

Peak list (10 most intense, 10° ≤ 2θ ≤ 80°, by angle)
4.515 Å, 19.66°, I 1
2.880 Å, 31.06°, I 1
2.593 Å, 34.59°, I 100
2.258 Å, 39.93°, I 34
2.223 Å, 40.59°, I 15
1.596 Å, 57.75°, I 11
1.584 Å, 58.25°, I 21
1.359 Å, 69.09°, I 25
1.344 Å, 70.00°, I 11
1.297 Å, 72.96°, I 10